Diffraction record for Hf5AlRu4. The powder XRD pattern is calculated, not measured: it uses a PBE-relaxed structure and Cu Ka.

Main lines, in order of rising 2θ (15° ≤ 2θ ≤ 90°):
| 2θ (°) | I (rel.) |
| --- | --- |
| 16.28 | 1 |
| 21.76 | 1 |
| 27.32 | 14 |
| 39.01 | 100 |
| 43.27 | 1 |
| 47.92 | 1 |
| 48.28 | 4 |
| 56.36 | 17 |
| 63.74 | 5 |
| 70.67 | 34 |
| 76.23 | 1 |
| 83.80 | 11 |

Structure:
```
Hf5AlRu4
1.0
3.264 0.000 0.000
0.000 3.264 0.000
0.000 0.000 16.338
Hf Al Ru
5 1 4
Direct
0.000 0.000 0.000
0.000 0.000 0.197
0.000 0.000 0.392
0.000 0.000 0.608
0.000 0.000 0.803
0.500 0.500 0.500
0.500 0.500 0.099
0.500 0.500 0.298
0.500 0.500 0.702
0.500 0.500 0.901
```